Starting from a GGA-PBE-relaxed structure, the X-ray powder pattern of Hf2ReTc was calculated for copper Kα.
Lines closer than 0.1° are merged.

Largest 9 diffraction maxima, by angle, 2θ = 10–80°:
2θ (°), d/Å, I/Imax
23.56, 3.776, 3.9
27.27, 3.270, 1.4
38.95, 2.313, 100.0
46.02, 1.972, 2.2
56.26, 1.635, 17.3
61.83, 1.501, 1.0
63.62, 1.463, 0.6
70.54, 1.335, 35.1
75.53, 1.259, 0.7

```
Hf2ReTc
1.0
0.0000 3.2704 3.2704
3.2704 0.0000 3.2704
3.2704 3.2704 0.0000
Hf Re Tc
2 1 1
Cartesian
1.6352 1.6352 1.6352
4.9056 4.9056 4.9056
0.0000 0.0000 0.0000
3.2704 3.2704 3.2704
```